Record 1
SrTaPt2O8: calculated powder XRD pattern (Cu Kα (λ = 1.5418 Å)), based on the PBE geometry in Alexandria.
Lines closer than 0.1° are merged.

Cell and atoms:
```
SrTaPt2O8
1.0
5.440 0.000 0.000
-2.720 4.711 0.000
0.000 0.000 7.303
Sr Ta Pt O
1 1 2 8
Cartesian
0.000 0.000 0.000
0.000 0.000 3.652
0.000 3.141 5.798
2.720 1.570 1.506
-0.502 1.482 4.865
-1.186 4.405 4.865
1.032 1.176 2.438
0.000 3.141 0.339
2.720 1.570 6.964
1.688 3.535 4.865
3.906 0.306 2.438
3.222 3.230 2.438
```

The 10 most intense peaks (2θ from 10° to 90°), in order of rising 2θ:
two_theta  Rel. int.
22.46  100.0
30.98  62.4
32.93  58.9
40.23  15.6
45.84  26.0
50.30  13.5
52.93  19.5
57.59  23.7
58.80  14.0
61.13  10.8

---

Record 2
Y11Tl9Au4: calculated powder XRD pattern (Cu Kα (λ = 1.5418 Å)), based on the PBE geometry in Alexandria.
Lines closer than 0.1° are merged.

Cell and atoms:
```
Y11Tl9Au4
1.0
7.448 -11.213 0.000
7.448 11.213 0.000
0.000 0.000 3.769
Y Tl Au
11 9 4
Cartesian
0.000 0.000 0.000
3.633 3.816 0.000
7.448 7.567 0.000
4.481 0.000 0.000
7.448 2.965 0.000
3.633 -3.816 0.000
11.263 3.816 0.000
7.448 -2.965 0.000
10.416 0.000 0.000
7.448 -7.567 0.000
11.263 -3.816 0.000
2.036 1.681 1.884
5.805 5.432 1.884
2.036 -1.681 1.884
9.092 5.432 1.884
7.448 0.000 1.884
5.805 -5.432 1.884
12.861 1.681 1.884
9.092 -5.432 1.884
12.861 -1.681 1.884
5.220 2.225 1.884
5.220 -2.225 1.884
9.677 2.225 1.884
9.677 -2.225 1.884
```

The 10 most intense peaks (2θ from 10° to 90°), in order of rising 2θ:
two_theta  Rel. int.
23.61  18.8
23.85  17.5
32.13  9.8
33.81  100.0
33.98  51.8
35.97  9.4
41.80  14.9
48.30  14.8
60.37  19.9
60.79  10.0

---

Record 3
CePNO4F2: calculated powder XRD pattern (Cu Kα (λ = 1.5418 Å)), based on the PBE geometry in Alexandria.
Lines closer than 0.1° are merged.

Cell and atoms:
```
CePNO4F2
1.0
6.792 0.000 0.000
0.000 5.904 0.000
-3.380 0.000 6.902
Ce P N O F
2 2 2 8 4
Cartesian
0.005 1.476 1.267
3.407 4.428 5.635
0.009 4.428 3.691
3.403 1.476 3.212
0.022 1.476 5.491
3.390 4.428 1.411
-1.242 4.428 4.581
0.009 3.169 2.797
0.009 5.687 2.797
2.152 1.476 2.321
1.260 4.428 4.581
3.403 0.217 4.105
3.403 2.735 4.105
4.654 1.476 2.321
-2.148 5.904 6.900
-2.148 2.952 6.900
5.560 0.000 0.002
5.560 2.952 0.002
```

The 10 most intense peaks (2θ from 10° to 90°), in order of rising 2θ:
two_theta  Rel. int.
14.54  99.1
19.79  71.2
26.24  24.3
27.87  100.0
30.28  12.6
40.21  17.0
40.49  12.9
47.01  23.8
47.32  21.7
52.32  15.6

---

- Number 3 is which compound?
  CePNO4F2

---

Please write out number 1 again, unchanged.
SrTaPt2O8: calculated powder XRD pattern (Cu Kα (λ = 1.5418 Å)), based on the PBE geometry in Alexandria.
Lines closer than 0.1° are merged.

Cell and atoms:
```
SrTaPt2O8
1.0
5.440 0.000 0.000
-2.720 4.711 0.000
0.000 0.000 7.303
Sr Ta Pt O
1 1 2 8
Cartesian
0.000 0.000 0.000
0.000 0.000 3.652
0.000 3.141 5.798
2.720 1.570 1.506
-0.502 1.482 4.865
-1.186 4.405 4.865
1.032 1.176 2.438
0.000 3.141 0.339
2.720 1.570 6.964
1.688 3.535 4.865
3.906 0.306 2.438
3.222 3.230 2.438
```

The 10 most intense peaks (2θ from 10° to 90°), in order of rising 2θ:
two_theta  Rel. int.
22.46  100.0
30.98  62.4
32.93  58.9
40.23  15.6
45.84  26.0
50.30  13.5
52.93  19.5
57.59  23.7
58.80  14.0
61.13  10.8